No. 1
This entry pairs a crystal structure of AcGa3Rh3 with its computed XRD peak list. Radiation: Cu Kα, 1.54184 Å. Structure: DFT lattice parameters and positions (PBE).

Largest 10 diffraction maxima, by intensity, 10° ≤ 2θ ≤ 90°:
29.63°, rel. 100
37.76°, rel. 71
41.14°, rel. 55
48.73°, rel. 47
41.89°, rel. 41
34.67°, rel. 39
46.66°, rel. 24
61.53°, rel. 21
23.28°, rel. 20
88.16°, rel. 16

Crystal structure
```
AcGa3Rh3
1.0
3.372 1.947 6.734
-3.372 1.947 6.734
0.000 -3.893 6.734
Ac Ga Rh
2 6 6
Cartesian
0.000 0.000 3.259
0.000 0.000 16.944
-0.642 -1.766 5.986
-1.209 1.439 5.986
-1.851 -0.327 14.218
1.851 0.327 5.986
1.209 -1.439 14.218
0.642 1.766 14.218
-0.776 -1.419 8.525
-1.617 -0.037 11.679
-0.841 1.382 8.525
0.841 -1.382 11.679
1.617 0.037 8.525
0.776 1.419 11.679
```



No. 2
This entry pairs a crystal structure of NaTl2ZnBr4 with its computed XRD peak list. Radiation: Cu Kα, 1.54184 Å. Structure: DFT lattice parameters and positions (PBE).

Largest 10 diffraction maxima, by intensity, 10° ≤ 2θ ≤ 90°:
26.56°, rel. 100
37.86°, rel. 59
21.63°, rel. 49
39.57°, rel. 36
32.76°, rel. 29
17.65°, rel. 25
25.02°, rel. 25
30.20°, rel. 21
50.93°, rel. 20
12.40°, rel. 19

Crystal structure
```
NaTl2ZnBr4
1.0
0.000 6.373 14.272
3.342 0.000 14.272
3.342 6.373 0.000
Na Tl Zn Br
2 4 2 8
Cartesian
0.835 1.593 3.568
5.848 11.153 24.976
2.506 4.780 0.263
4.177 7.966 7.399
2.506 4.780 21.145
4.177 7.966 28.280
2.506 4.780 10.704
4.177 7.966 17.840
3.899 3.433 9.208
3.899 6.126 12.200
5.570 6.620 19.336
5.570 9.313 16.344
1.113 3.433 12.200
1.113 6.126 9.208
2.784 6.620 16.344
2.784 9.313 19.336
```